For VC2O6, a DFT-relaxed cell (GGA+U, Alexandria) gives the computed powder X-ray diffraction pattern in this record (Cu Kα (weighted mean of Kα1 and Kα2)).
Lines closer than 0.1° are merged.

Top 12 peaks for 2θ = 10–90°, sorted by position:
2θ/deg, I_rel
13.13, 16
17.80, 100
23.16, 33
26.43, 15
28.32, 9
28.58, 20
34.55, 28
36.05, 8
43.29, 7
46.63, 11
48.00, 15
57.72, 7

Crystal structure
```
36
Lattice="-4.983 4.983 4.580 4.983 -4.983 4.580 4.983 4.983 -4.580" Properties=species:S:1:pos:R:3 pbc="T T T"
V 2.492 2.146 -1.145
V 2.837 -2.492 5.725
V 2.492 2.837 3.435
V 2.146 7.475 1.145
C 4.472 -2.929 3.212
C 7.912 -0.512 1.368
C 5.495 2.054 -0.922
C 2.054 0.512 1.368
C 2.054 4.472 0.922
C 5.495 2.929 3.212
C 2.929 0.512 5.502
C -0.512 2.929 3.658
O 2.074 0.665 0.094
O 2.996 3.451 -2.420
O 2.054 -0.661 1.903
O 4.322 2.054 -0.387
O 6.516 1.987 -0.130
O 4.318 -2.909 4.486
O 2.930 5.644 -2.677
O 1.987 3.451 0.130
O 1.987 1.532 2.160
O 2.930 -0.661 4.967
O -0.665 2.909 2.384
O 6.516 2.996 2.420
O 4.322 2.930 2.677
O 2.054 5.644 0.387
O 2.996 1.532 4.710
O 2.074 4.318 2.196
O 0.661 2.930 4.193
O 0.665 7.892 -0.094
O -1.532 2.996 4.451
O -2.074 5.648 2.196
O 2.909 4.318 4.674
O -1.532 1.987 7.000
O 0.665 7.057 2.384
O 0.661 2.054 7.257
```

=====

For VC2O6, a DFT-relaxed cell (GGA+U, Alexandria) gives the computed powder X-ray diffraction pattern in this record (Cu Kα (weighted mean of Kα1 and Kα2)).
Lines closer than 0.1° are merged.

Top 12 peaks for 2θ = 10–90°, sorted by position:
2θ/deg, I_rel
15.47, 100
23.64, 26
25.47, 23
26.73, 5
28.38, 5
30.95, 12
31.24, 20
32.85, 8
45.19, 5
45.90, 7
47.64, 12
49.38, 6

Crystal structure
```
36
Lattice="7.527 0.000 0.000 0.000 7.192 0.000 0.000 0.000 9.467" Properties=species:S:1:pos:R:3 pbc="T T T"
V 1.222 1.749 0.000
V 2.541 5.345 4.733
V 4.986 1.847 0.000
V 6.305 5.443 4.733
C 1.628 4.179 7.330
C 1.843 6.647 7.298
C 1.920 3.051 2.564
C 2.135 0.584 2.597
C 5.392 6.608 7.330
C 5.607 4.140 7.298
C 5.684 0.544 2.564
C 5.899 3.012 2.597
O 0.451 5.601 4.731
O 1.263 3.285 8.109
O 1.302 3.094 1.460
O 1.367 5.465 7.841
O 1.609 0.468 7.982
O 1.617 0.417 1.453
O 2.147 4.013 6.187
O 2.155 4.063 3.249
O 2.397 1.869 3.108
O 2.462 6.690 6.193
O 2.500 6.881 3.376
O 3.312 2.005 9.464
O 4.215 5.186 4.731
O 5.027 0.311 8.109
O 5.066 0.502 1.460
O 5.130 5.323 7.841
O 5.372 3.128 7.982
O 5.380 3.179 1.453
O 5.910 6.775 6.187
O 5.918 6.724 3.249
O 6.160 1.727 3.108
O 6.225 4.097 6.193
O 6.264 3.907 3.376
O 7.076 1.591 9.464
```

=====

For W4C3O, a DFT-relaxed cell (GGA+U, Alexandria) gives the computed powder X-ray diffraction pattern in this record (Cu Kα (weighted mean of Kα1 and Kα2)).
Lines closer than 0.1° are merged.

Top 12 peaks for 2θ = 10–90°, sorted by position:
2θ/deg, I_rel
30.09, 42
35.05, 100
46.85, 95
52.55, 3
58.97, 2
62.55, 6
62.87, 22
71.26, 23
73.76, 18
74.06, 12
81.96, 19
82.16, 4

Crystal structure
```
8
Lattice="2.956 0.000 0.000 -1.478 2.560 0.000 0.000 0.000 11.879" Properties=species:S:1:pos:R:3 pbc="T T T"
W 0.000 0.000 1.442
W 0.000 0.000 4.285
W 0.000 0.000 7.594
W 0.000 0.000 10.437
C 1.478 0.853 0.000
C 1.478 0.853 2.909
C 1.478 0.853 8.970
O 1.478 0.853 5.940
```

=====

For W2C3O3, a DFT-relaxed cell (GGA+U, Alexandria) gives the computed powder X-ray diffraction pattern in this record (Cu Kα (weighted mean of Kα1 and Kα2)).
Lines closer than 0.1° are merged.

Top 12 peaks for 2θ = 10–90°, sorted by position:
2θ/deg, I_rel
22.50, 91
22.88, 100
24.65, 94
32.31, 49
33.61, 74
33.88, 57
41.05, 60
46.75, 20
52.81, 26
53.55, 22
58.28, 30
58.80, 30

Crystal structure
```
16
Lattice="7.773 0.000 0.000 0.000 7.903 0.000 0.000 0.000 3.612" Properties=species:S:1:pos:R:3 pbc="T T T"
W 0.000 1.967 0.000
W 0.000 5.936 0.000
W 3.886 1.985 0.000
W 3.886 5.919 0.000
C 0.000 0.000 0.000
C 0.000 0.712 1.806
C 0.000 7.191 1.806
C 3.886 3.240 1.806
C 3.886 3.952 0.000
C 3.886 4.664 1.806
O 0.000 3.952 0.000
O 1.943 1.976 0.000
O 1.943 5.928 0.000
O 3.886 0.000 0.000
O 5.830 1.976 0.000
O 5.830 5.928 0.000
```